No. 1
Computed powder diffractogram
Compound: Tl2GaPbF8
Radiation: Cu Kα, 1.54184 Å
Structure: a cell relaxed with GGA-PBE
Intensities are scaled so that the largest is 100.

Structure:
Lattice parameters (Å, degrees): 5.8545 5.8545 6.8492 90.00 90.00 120.00
Space group P-3m1 (No. 164)
One atom of each set of equivalent atoms:
Tl  0.3333  0.6667  0.3532 [2 per cell]
Ga  0.0000  0.0000  0.5000 [1 per cell]
Pb  0.0000  0.0000  0.0000 [1 per cell]
F  0.1485  0.2971  0.6747 [6 per cell]
F  0.3333  0.6667  0.0277 [2 per cell]

Peak list (10 most intense, 2θ = 10–80°, most intense first)
2θ 21.8, I = 100, hkl 0 1 1; 2θ 30.5, I = 92, hkl 1 1 0; 2θ 31.5, I = 64, hkl 1 0 2; 2θ 37.8, I = 45, hkl 2 0 1; 2θ 44.5, I = 40, hkl 0 2 2; 2θ 54.9, I = 29, hkl 2 1 2; 2θ 50.7, I = 25, hkl 1 1 3; 2θ 49.4, I = 25, hkl 1 2 1; 2θ 54.3, I = 18, hkl 3 0 0; 2θ 63.6, I = 16, hkl 2 2 0

---

No. 2
Computed powder diffractogram
Compound: CeY2NpO8
Radiation: Cu Kα, 1.54184 Å
Structure: a cell relaxed with GGA-PBE
Intensities are scaled so that the largest is 100.

Structure:
Lattice parameters (Å, degrees): 3.824 7.552 5.377 90.00 90.14 90.00
Space group P2/m (No. 10)
One atom of each set of equivalent atoms:
Ce  0.000  0.000  0.000 [1 per cell]
Y  0.500  0.252  0.500 [2 per cell]
Np  0.000  0.500  0.000 [1 per cell]
O  0.001  0.270  0.760 [4 per cell]
O  0.499  0.500  0.230 [2 per cell]
O  0.500  0.000  0.248 [2 per cell]

Peak list (10 most intense, 2θ = 10–80°, most intense first)
2θ 28.6, I = 100, hkl 1 0 1; 2θ 28.9, I = 98, hkl 0 2 1; 2θ 47.9, I = 71, hkl 1 2 2; 2θ 33.3, I = 58, hkl 1 2 0; 2θ 56.6, I = 37, hkl 2 2 1; 2θ 57.0, I = 29, hkl 1 4 1; 2θ 16.5, I = 22, hkl 0 0 1; 2θ 56.8, I = 22, hkl 1 0 3; 2θ 47.6, I = 18, hkl 2 0 0; 2θ 48.2, I = 17, hkl 0 4 0

---

No. 3
Computed powder diffractogram
Compound: Mn5Al
Radiation: Cu Kα, 1.54184 Å
Structure: a cell relaxed with GGA-PBE
Intensities are scaled so that the largest is 100.

Structure:
Lattice parameters (Å, degrees): 2.852 12.146 4.032 90.00 90.00 90.00
Space group Cmmm (No. 65)
One atom of each set of equivalent atoms:
Mn  0.000  0.000  0.000 [2 per cell]
Mn  0.000  0.174  0.500 [4 per cell]
Mn  0.000  0.338  0.000 [4 per cell]
Al  0.000  0.500  0.500 [2 per cell]

Peak list (10 most intense, 2θ = 10–80°, most intense first)
2θ 44.9, I = 100, hkl 0 0 2; 2θ 44.8, I = 20, hkl 0 6 0; 2θ 65.3, I = 11, hkl 0 6 2; 2θ 65.4, I = 6, hkl 2 0 0; 2θ 14.6, I = 4, hkl 0 2 0; 2θ 26.5, I = 4, hkl 0 2 1; 2θ 49.3, I = 1, hkl 1 5 0; 2θ 22.0, I = 1, hkl 0 0 1; 2θ 39.4, I = 1, hkl 1 1 1; 2θ 65.7, I = 1, hkl 0 8 1

---

No. 4
Computed powder diffractogram
Compound: UI4F
Radiation: Cu Kα, 1.54184 Å
Structure: a cell relaxed with GGA-PBE
Intensities are scaled so that the largest is 100.

Structure:
Lattice parameters (Å, degrees): 11.135 11.135 4.521 90.00 90.00 90.00
Space group I4/m (No. 87)
One atom of each set of equivalent atoms:
U  0.000  0.000  0.000 [2 per cell]
I  0.067  0.750  0.000 [8 per cell]
F  0.000  0.000  0.500 [2 per cell]

Peak list (10 most intense, 2θ = 10–80°, most intense first)
2θ 21.2, I = 100, hkl 1 0 1; 2θ 11.2, I = 65, hkl 1 1 0; 2θ 25.3, I = 62, hkl 3 1 0; 2θ 38.8, I = 57, hkl 4 1 1; 2θ 36.1, I = 27, hkl 2 4 0; 2θ 26.6, I = 22, hkl 1 2 1; 2θ 47.8, I = 22, hkl 3 1 2; 2θ 45.4, I = 21, hkl 3 4 1; 2θ 32.2, I = 21, hkl 4 0 0; 2θ 48.4, I = 18, hkl 2 5 1

---

No. 5
Computed powder diffractogram
Compound: TbSc4Rh2
Radiation: Cu Kα, 1.54184 Å
Structure: a cell relaxed with GGA-PBE
Intensities are scaled so that the largest is 100.

Structure:
Lattice parameters (Å, degrees): 7.408 5.904 7.614 90.00 112.80 90.00
Space group P2_1/m (No. 11)
One atom of each set of equivalent atoms:
Tb  0.016  0.250  0.159 [2 per cell]
Sc  0.242  0.000  0.590 [4 per cell]
Sc  0.344  0.750  0.257 [2 per cell]
Sc  0.391  0.250  0.013 [2 per cell]
Rh  0.010  0.250  0.734 [2 per cell]
Rh  0.420  0.250  0.371 [2 per cell]

Peak list (10 most intense, 2θ = 10–80°, most intense first)
2θ 40.4, I = 100, hkl 2 2 0; 2θ 30.3, I = 66, hkl 0 2 0; 2θ 14.2, I = 51, hkl 1 0 -1; 2θ 36.3, I = 51, hkl 1 1 2; 2θ 28.1, I = 45, hkl 1 1 -2; 2θ 13.0, I = 42, hkl 1 0 0; 2θ 33.6, I = 41, hkl 1 2 -1; 2θ 38.7, I = 41, hkl 1 2 -2; 2θ 32.4, I = 35, hkl 2 1 -2; 2θ 26.1, I = 33, hkl 2 0 0

---

No. 6
Computed powder diffractogram
Compound: NaLiAu10
Radiation: Cu Kα, 1.54184 Å
Structure: a cell relaxed with GGA-PBE
Intensities are scaled so that the largest is 100.

Structure:
Lattice parameters (Å, degrees): 4.675 5.569 9.646 90.00 90.00 90.00
Space group Pmmm (No. 47)
One atom of each set of equivalent atoms:
Na  0.000  0.000  0.000 [1 per cell]
Li  0.000  0.500  0.500 [1 per cell]
Au  0.000  0.000  0.338 [2 per cell]
Au  0.000  0.500  0.173 [2 per cell]
Au  0.500  0.000  0.500 [1 per cell]
Au  0.500  0.250  0.250 [4 per cell]
Au  0.500  0.500  0.000 [1 per cell]

Peak list (10 most intense, 2θ = 10–80°, most intense first)
2θ 42.2, I = 100, hkl 1 2 2; 2θ 18.4, I = 94, hkl 0 0 2; 2θ 37.6, I = 84, hkl 1 2 0; 2θ 38.5, I = 36, hkl 2 0 0; 2θ 43.0, I = 23, hkl 2 0 2; 2θ 67.2, I = 21, hkl 0 4 0; 2θ 72.2, I = 21, hkl 3 2 2; 2θ 60.9, I = 21, hkl 1 3 3; 2θ 37.3, I = 20, hkl 0 0 4; 2θ 50.0, I = 15, hkl 0 1 5